For MgV2Pb3O8, a cell relaxed with PBE+U gives the simulated powder X-ray diffraction pattern in this record (copper Kα).
Kinematic intensities with the Lorentz-polarization factor, no thermal factor.

Peak list (12 most intense, 2θ from 15° to 90°, by intensity)
Position (°2θ)  Rel. int.
26.7  100
28.4  99
18.7  80
29.5  72
16.3  55
23.8  52
31.4  49
30.7  46
31.1  45
34.8  41
47.8  38
32.6  35

Structural model:
```
MgV2Pb3O8
1.0
5.846 0.000 0.000
-1.893 5.725 0.000
-0.303 -2.300 6.938
Mg V Pb O
1 2 3 8
Direct
0.000 0.000 0.000
0.120 0.521 0.114
0.993 0.988 0.497
0.221 0.659 0.649
0.629 0.397 0.805
0.641 0.243 0.299
0.018 0.624 0.353
0.180 0.763 0.008
0.300 0.328 0.080
0.321 0.108 0.557
0.820 0.255 0.012
0.855 0.964 0.256
0.911 0.285 0.611
0.924 0.843 0.702
```

For LiMn2F6, a cell relaxed with PBE+U gives the simulated powder X-ray diffraction pattern in this record (copper Kα).
Kinematic intensities with the Lorentz-polarization factor, no thermal factor.

Peak list (12 most intense, 2θ from 15° to 90°, by intensity)
Position (°2θ)  Rel. int.
26.5  100
20.8  32
38.3  26
54.5  26
18.4  22
39.1  21
33.6  20
50.8  19
51.8  19
51.2  18
52.1  17
21.0  17

Structural model:
```
LiMn2F6
1.0
4.763 0.000 0.000
0.000 4.756 0.000
-4.483 0.000 9.648
Li Mn F
2 4 12
Direct
0.000 0.000 0.000
0.000 0.500 0.500
0.330 0.000 0.334
0.330 0.500 0.834
0.670 0.000 0.666
0.670 0.500 0.166
0.037 0.200 0.833
0.037 0.300 0.333
0.297 0.696 0.995
0.297 0.804 0.495
0.382 0.203 0.177
0.382 0.297 0.677
0.618 0.703 0.323
0.618 0.797 0.823
0.703 0.196 0.505
0.703 0.304 0.005
0.963 0.700 0.667
0.963 0.800 0.167
```

For V3O5F, a cell relaxed with PBE+U gives the simulated powder X-ray diffraction pattern in this record (copper Kα).
Kinematic intensities with the Lorentz-polarization factor, no thermal factor.

Peak list (12 most intense, 2θ from 15° to 90°, by intensity)
Position (°2θ)  Rel. int.
35.7  100
26.7  96
27.8  95
53.2  56
54.5  53
68.4  37
41.2  20
57.4  19
40.5  18
62.0  17
55.0  16
38.9  11

Structural model:
```
V3O5F
1.0
3.212 -10.024 0.000
3.212 10.024 0.000
0.000 0.000 2.992
V O F
6 10 2
Direct
0.000 0.000 0.000
0.161 0.839 0.500
0.322 0.678 0.000
0.500 0.500 0.500
0.678 0.322 0.000
0.839 0.161 0.500
0.044 0.375 0.000
0.065 0.935 0.500
0.263 0.737 0.500
0.303 0.303 0.000
0.375 0.044 0.000
0.625 0.956 0.000
0.697 0.697 0.000
0.737 0.263 0.500
0.935 0.065 0.500
0.956 0.625 0.000
0.396 0.604 0.500
0.604 0.396 0.500
```

For Mn6O5F7, a cell relaxed with PBE+U gives the simulated powder X-ray diffraction pattern in this record (copper Kα).
Kinematic intensities with the Lorentz-polarization factor, no thermal factor.

Peak list (12 most intense, 2θ from 15° to 90°, by intensity)
Position (°2θ)  Rel. int.
25.1  100
27.6  81
34.3  43
34.6  21
33.9  21
65.9  20
51.5  17
50.2  16
50.8  16
50.7  16
59.1  15
49.9  14

Structural model:
```
Mn6O5F7
1.0
5.716 0.000 0.000
1.380 5.624 0.000
1.986 1.508 6.704
Mn O F
6 5 7
Direct
0.000 0.000 0.000
0.001 0.960 0.494
0.324 0.339 0.166
0.337 0.346 0.653
0.645 0.671 0.331
0.678 0.685 0.834
0.097 0.085 0.205
0.310 0.660 0.493
0.561 0.583 0.119
0.759 0.757 0.539
0.913 0.894 0.792
0.005 0.640 0.172
0.217 0.200 0.474
0.360 0.008 0.824
0.445 0.461 0.855
0.639 0.042 0.155
0.690 0.285 0.500
0.984 0.361 0.831
```

For MgNiP2O7, a cell relaxed with PBE+U gives the simulated powder X-ray diffraction pattern in this record (copper Kα).
Kinematic intensities with the Lorentz-polarization factor, no thermal factor.

Peak list (12 most intense, 2θ from 15° to 90°, by intensity)
Position (°2θ)  Rel. int.
20.6  100
25.0  72
16.6  70
29.7  42
29.3  35
25.2  31
17.1  31
33.8  24
31.6  21
33.6  20
42.7  18
35.6  18

Structural model:
```
MgNiP2O7
1.0
5.046 0.000 0.000
0.561 5.514 0.000
1.888 1.391 5.174
Mg Ni P O
1 1 2 7
Direct
0.000 0.000 0.000
0.814 0.878 0.600
0.308 0.509 0.790
0.452 0.103 0.158
0.089 0.724 0.830
0.180 0.947 0.282
0.185 0.299 0.738
0.354 0.391 0.077
0.597 0.599 0.608
0.632 0.022 0.911
0.650 0.092 0.313
```

For MgCrGaO4, a cell relaxed with PBE+U gives the simulated powder X-ray diffraction pattern in this record (copper Kα).
Kinematic intensities with the Lorentz-polarization factor, no thermal factor.

Peak list (12 most intense, 2θ from 15° to 90°, by intensity)
Position (°2θ)  Rel. int.
21.9  100
35.3  90
26.9  65
35.5  53
17.5  42
53.4  42
34.6  32
48.1  29
41.2  29
55.2  24
62.4  23
53.0  19

Structural model:
```
MgCrGaO4
1.0
5.179 0.000 0.000
0.000 2.918 0.000
-1.052 0.000 5.192
Mg Cr Ga O
1 1 1 4
Direct
0.000 0.000 0.000
0.527 0.000 0.066
0.104 0.500 0.494
0.230 0.000 0.738
0.291 0.500 0.197
0.716 0.500 0.920
0.867 0.000 0.347
```

For YNi3O6, a cell relaxed with PBE+U gives the simulated powder X-ray diffraction pattern in this record (copper Kα).
Kinematic intensities with the Lorentz-polarization factor, no thermal factor.

Peak list (12 most intense, 2θ from 15° to 90°, by intensity)
Position (°2θ)  Rel. int.
34.3  100
34.4  74
34.5  59
17.7  59
60.4  53
55.1  38
29.1  35
60.8  34
41.8  33
29.3  33
35.9  29
55.3  27

Structural model:
```
YNi3O6
1.0
5.313 -3.067 0.000
5.313 3.067 0.000
-0.047 0.000 14.883
Y Ni O
4 12 24
Direct
0.002 0.002 0.371
0.333 0.333 0.054
0.667 0.667 0.946
0.998 0.998 0.629
0.000 0.000 0.000
0.000 0.500 0.500
0.168 0.168 0.831
0.168 0.663 0.831
0.331 0.331 0.667
0.337 0.832 0.169
0.500 0.000 0.500
0.500 0.500 0.500
0.663 0.168 0.831
0.669 0.669 0.333
0.832 0.337 0.169
0.832 0.832 0.169
0.002 0.002 0.234
0.061 0.463 0.754
0.139 0.713 0.095
0.143 0.143 0.095
0.190 0.613 0.582
0.191 0.191 0.583
0.287 0.861 0.905
0.324 0.324 0.439
0.335 0.335 0.909
0.387 0.810 0.418
0.463 0.061 0.754
0.468 0.468 0.753
0.532 0.532 0.247
0.537 0.939 0.246
0.613 0.190 0.582
0.665 0.665 0.091
0.676 0.676 0.561
0.713 0.139 0.095
0.809 0.809 0.417
0.810 0.387 0.418
0.857 0.857 0.905
0.861 0.287 0.905
0.939 0.537 0.246
0.998 0.998 0.766
```